Structure and computed powder X-ray diffraction pattern of BeCdBIrAu (a cell relaxed with PBE; copper Kα).
Peak positions follow from Bragg's law for the DFT cell and can differ from measured ones.

a = 3.3900 Å, b = 3.3900 Å, c = 7.3872 Å
α = 90.00°, β = 90.00°, γ = 120.00°
Space group P3m1 (No. 156)
Symmetry-distinct sites (fractional):
Be1 0.0000 0.0000 0.0000
Cd1 0.0000 0.0000 0.4926
B1 0.6667 0.3333 0.0976
Ir1 0.3333 0.6667 0.1948
Au1 0.6667 0.3333 0.7841

Principal peaks in the range 2θ = 10–90°, by intensity:
2θ (°)	I (rel.)
32.83	100
39.20	53
54.11	25
67.03	16
36.49	16
48.24	15
64.75	14
59.10	14